NaSmPO: theoretical powder diffractogram (Cu Kα X-rays), based on a crystal structure in OQMD, relaxed with PBE.
Peak positions follow from Bragg's law for the DFT cell and can differ from measured ones.

```
NaSmPO
1.0
3.7059 0.0000 0.0000
0.0000 7.9940 0.0000
0.0000 0.0000 5.9559
Na Sm P O
2 2 2 2
direct
0.0000 0.0854 0.0000 Na
0.0000 0.9146 0.5000 Na
0.5000 0.3128 0.4024 Sm
0.5000 0.6872 0.9024 Sm
0.5000 0.3361 0.8906 P
0.5000 0.6639 0.3906 P
0.0000 0.1714 0.3672 O
0.0000 0.8286 0.8672 O
```

Largest 12 diffraction maxima, low angle first, 2θ = 5–70°:
h k l, Position (°2θ), I/Imax
0 1 0, 11.07, 23
0 1 1, 18.58, 100
0 2 0, 22.24, 35
1 0 0, 24.01, 40
1 1 0, 26.51, 35
0 2 1, 26.86, 22
0 0 2, 30.01, 49
1 1 1, 30.53, 52
1 2 0, 32.96, 27
1 0 2, 38.79, 29
1 3 0, 41.75, 33
1 3 2, 52.26, 32



Na4ZnP2O8: theoretical powder diffractogram (Cu Kα X-rays), based on a crystal structure in OQMD, relaxed with PBE.
Peak positions follow from Bragg's law for the DFT cell and can differ from measured ones.

```
Na4ZnP2O8
1.0
8.8057 0.0000 0.0000
0.0000 10.6956 0.0000
-2.7997 0.0000 8.4129
Na Zn P O
16 4 8 32
direct
0.0083 0.0987 0.2528 Na
0.0083 0.4013 0.7528 Na
0.1260 0.6656 0.6019 Na
0.1260 0.8344 0.1019 Na
0.1812 0.1265 0.6809 Na
0.1812 0.3735 0.1809 Na
0.3810 0.6374 0.3749 Na
0.3810 0.8626 0.8749 Na
0.6190 0.1374 0.1251 Na
0.6190 0.3626 0.6251 Na
0.8188 0.6265 0.8191 Na
0.8188 0.8735 0.3191 Na
0.8740 0.1656 0.8981 Na
0.8740 0.3344 0.3981 Na
0.9917 0.5987 0.2472 Na
0.9917 0.9013 0.7472 Na
0.4082 0.1475 0.4082 Zn
0.4082 0.3525 0.9082 Zn
0.5918 0.6475 0.0918 Zn
0.5918 0.8525 0.5918 Zn
0.2209 0.5902 0.9708 P
0.2209 0.9098 0.4708 P
0.2669 0.1045 0.0423 P
0.2669 0.3955 0.5423 P
0.7331 0.6045 0.4577 P
0.7331 0.8955 0.9577 P
0.7791 0.0902 0.5292 P
0.7791 0.4098 0.0292 P
0.0763 0.6214 0.8249 O
0.0763 0.8786 0.3249 O
0.1295 0.1767 0.0745 O
0.1295 0.3233 0.5745 O
0.1904 0.6258 0.1274 O
0.1904 0.8742 0.6274 O
0.2094 0.5221 0.4609 O
0.2094 0.9779 0.9609 O
0.2487 0.0549 0.4736 O
0.2487 0.4451 0.9736 O
0.3425 0.1772 0.9288 O
0.3425 0.3228 0.4288 O
0.3699 0.6599 0.9526 O
0.3699 0.8401 0.4526 O
0.4063 0.0843 0.2019 O
0.4063 0.4157 0.7019 O
0.5937 0.5843 0.2981 O
0.5937 0.9157 0.7981 O
0.6301 0.1599 0.5474 O
0.6301 0.3401 0.0474 O
0.6575 0.6772 0.5712 O
0.6575 0.8228 0.0712 O
0.7513 0.5549 0.0264 O
0.7513 0.9451 0.5264 O
0.7906 0.0221 0.0391 O
0.7906 0.4779 0.5391 O
0.8096 0.1258 0.3726 O
0.8096 0.3742 0.8726 O
0.8705 0.6767 0.4255 O
0.8705 0.8233 0.9255 O
0.9237 0.1214 0.6751 O
0.9237 0.3786 0.1751 O
```

Largest 12 diffraction maxima, low angle first, 2θ = 5–70°:
h k l, Position (°2θ), I/Imax
0 1 1, 13.42, 35
0 2 1, 19.68, 34
1 0 -2, 20.42, 21
1 2 -1, 20.72, 53
0 0 2, 21.12, 38
2 1 0, 22.85, 25
2 2 -2, 30.02, 46
2 2 1, 31.57, 30
0 4 0, 33.51, 66
2 0 2, 34.70, 100
3 2 -1, 34.87, 43
4 0 -4, 50.97, 23



NaZnPO4: theoretical powder diffractogram (Cu Kα X-rays), based on a crystal structure in OQMD, relaxed with PBE.
Peak positions follow from Bragg's law for the DFT cell and can differ from measured ones.

```
NaZnPO4
1.0
5.1781 0.0000 0.0000
0.0000 9.9308 0.0000
-5.1548 0.0000 7.3455
Na Zn P O
4 4 4 16
direct
0.1992 0.1149 0.4833 Na
0.1992 0.3851 0.9833 Na
0.8008 0.6149 0.0167 Na
0.8008 0.8851 0.5167 Na
0.3014 0.6699 0.5060 Zn
0.3014 0.8301 0.0060 Zn
0.6986 0.1699 0.9940 Zn
0.6986 0.3301 0.4940 Zn
0.4216 0.0975 0.2211 P
0.4216 0.4025 0.7211 P
0.5784 0.5975 0.2789 P
0.5784 0.9025 0.7789 P
0.1133 0.1244 0.2064 O
0.1133 0.3756 0.7064 O
0.2988 0.6428 0.0836 O
0.2988 0.8572 0.5836 O
0.4084 0.1743 0.0678 O
0.4084 0.3257 0.5678 O
0.4791 0.5548 0.7173 O
0.4791 0.9452 0.2173 O
0.5209 0.0548 0.7827 O
0.5209 0.4452 0.2827 O
0.5916 0.6743 0.4322 O
0.5916 0.8257 0.9322 O
0.7012 0.1428 0.4164 O
0.7012 0.3572 0.9164 O
0.8867 0.6244 0.2936 O
0.8867 0.8756 0.7936 O
```

Largest 12 diffraction maxima, low angle first, 2θ = 5–70°:
h k l, Position (°2θ), I/Imax
0 1 1, 15.00, 43
1 0 0, 20.97, 96
0 2 1, 21.60, 76
1 1 -2, 22.86, 100
0 0 2, 24.23, 31
1 2 -1, 24.84, 41
0 3 1, 29.60, 50
0 2 2, 30.27, 52
2 0 -2, 34.65, 82
1 2 -3, 34.99, 91
0 4 0, 36.18, 46
0 5 3, 60.01, 30



Na2ZnP2O7: theoretical powder diffractogram (Cu Kα X-rays), based on a crystal structure in OQMD, relaxed with PBE.
Peak positions follow from Bragg's law for the DFT cell and can differ from measured ones.

```
Na2ZnP2O7
1.0
7.6750 0.0000 0.0000
0.0000 7.6750 0.0000
0.0000 0.0000 10.1383
Na Zn P O
8 4 8 28
direct
0.1432 0.1432 0.0000 Na
0.1920 0.1920 0.5000 Na
0.3080 0.6920 0.0000 Na
0.3568 0.6432 0.5000 Na
0.6432 0.3568 0.5000 Na
0.6920 0.3080 0.0000 Na
0.8080 0.8080 0.5000 Na
0.8568 0.8568 0.0000 Na
0.0000 0.5000 0.2500 Zn
0.0000 0.5000 0.7500 Zn
0.5000 0.0000 0.2500 Zn
0.5000 0.0000 0.7500 Zn
0.1396 0.8604 0.2921 P
0.1396 0.8604 0.7079 P
0.3604 0.3604 0.2079 P
0.3604 0.3604 0.7921 P
0.6396 0.6396 0.2079 P
0.6396 0.6396 0.7921 P
0.8604 0.1396 0.2921 P
0.8604 0.1396 0.7079 P
0.0000 0.0000 0.3508 O
0.0000 0.0000 0.6492 O
0.0814 0.6904 0.3589 O
0.0814 0.6904 0.6411 O
0.1371 0.8629 0.1432 O
0.1371 0.8629 0.8568 O
0.1904 0.4186 0.1411 O
0.1904 0.4186 0.8589 O
0.3096 0.9186 0.3589 O
0.3096 0.9186 0.6411 O
0.3629 0.3629 0.3568 O
0.3629 0.3629 0.6432 O
0.4186 0.1904 0.1411 O
0.4186 0.1904 0.8589 O
0.5000 0.5000 0.1492 O
0.5000 0.5000 0.8508 O
0.5814 0.8096 0.1411 O
0.5814 0.8096 0.8589 O
0.6371 0.6371 0.3568 O
0.6371 0.6371 0.6432 O
0.6904 0.0814 0.3589 O
0.6904 0.0814 0.6411 O
0.8096 0.5814 0.1411 O
0.8096 0.5814 0.8589 O
0.8629 0.1371 0.1432 O
0.8629 0.1371 0.8568 O
0.9186 0.3096 0.3589 O
0.9186 0.3096 0.6411 O
```

Largest 12 diffraction maxima, low angle first, 2θ = 5–70°:
h k l, Position (°2θ), I/Imax
0 0 2, 17.50, 89
1 1 2, 24.02, 47
2 1 0, 25.96, 38
1 0 3, 28.87, 20
2 0 2, 29.19, 68
2 1 2, 31.48, 100
2 2 0, 33.01, 20
3 1 0, 37.04, 49
3 1 2, 41.24, 36
3 1 4, 52.18, 53
4 2 0, 53.39, 20
4 2 2, 56.64, 27